For Cs7Na, a DFT-relaxed cell (PBE, Alexandria) gives the computed powder diffraction line list in this record (Cu Kα X-rays).
Intensities are scaled so that the largest is 100.

The 10 most intense peaks (10 to 90 degrees two-theta), in order of rising 2θ:
- 2θ = 19.49°, 4.554 Å, intensity 8
- 2θ = 21.26°, 4.179 Å, intensity 100
- 2θ = 30.24°, 2.955 Å, intensity 19
- 2θ = 37.26°, 2.413 Å, intensity 28
- 2θ = 37.31°, 2.410 Å, intensity 12
- 2θ = 39.37°, 2.289 Å, intensity 8
- 2θ = 43.35°, 2.087 Å, intensity 8
- 2θ = 48.73°, 1.869 Å, intensity 16
- 2θ = 58.47°, 1.578 Å, intensity 16
- 2θ = 67.26°, 1.392 Å, intensity 6

Cell lengths 14.5058, 14.5058, 14.5058 Å; angles 33.45, 33.45, 33.45 degrees
Sites, in units of the cell vectors:
Cs 0.0000 0.0000 0.0000
Cs 0.1329 0.1329 0.1329
Cs 0.2536 0.2536 0.2536
Cs 0.3867 0.3867 0.3867
Cs 0.6133 0.6133 0.6133
Cs 0.7464 0.7464 0.7464
Cs 0.8671 0.8671 0.8671
Na 0.5000 0.5000 0.5000



For Cs13Na2, a DFT-relaxed cell (PBE, Alexandria) gives the computed powder diffraction line list in this record (Cu Kα X-rays).
Intensities are scaled so that the largest is 100.

The 10 most intense peaks (10 to 90 degrees two-theta), in order of rising 2θ:
- 2θ = 18.30°, 4.847 Å, intensity 48
- 2θ = 18.97°, 4.678 Å, intensity 31
- 2θ = 19.75°, 4.495 Å, intensity 56
- 2θ = 20.00°, 4.440 Å, intensity 89
- 2θ = 20.50°, 4.333 Å, intensity 100
- 2θ = 20.66°, 4.299 Å, intensity 41
- 2θ = 22.34°, 3.980 Å, intensity 69
- 2θ = 22.41°, 3.967 Å, intensity 49
- 2θ = 23.48°, 3.789 Å, intensity 51
- 2θ = 35.76°, 2.511 Å, intensity 35

Cell lengths 10.3166, 12.2840, 13.9261 Å; angles 65.36, 88.99, 78.78 degrees
Sites, in units of the cell vectors:
Cs 0.0000 0.0000 0.0000
Cs 0.0436 0.5545 0.6525
Cs 0.1757 0.0131 0.6445
Cs 0.2369 0.5886 0.0031
Cs 0.2892 0.1049 0.2479
Cs 0.4314 0.2222 0.8578
Cs 0.4838 0.3427 0.4262
Cs 0.5162 0.6573 0.5738
Cs 0.5686 0.7778 0.1422
Cs 0.7108 0.8951 0.7521
Cs 0.7631 0.4114 0.9969
Cs 0.8243 0.9869 0.3555
Cs 0.9564 0.4455 0.3475
Na 0.1976 0.7233 0.3177
Na 0.8024 0.2767 0.6823



For Cs15Na, a DFT-relaxed cell (PBE, Alexandria) gives the computed powder diffraction line list in this record (Cu Kα X-rays).
Intensities are scaled so that the largest is 100.

The 10 most intense peaks (10 to 90 degrees two-theta), in order of rising 2θ:
- 2θ = 18.91°, 4.692 Å, intensity 23
- 2θ = 20.46°, 4.341 Å, intensity 24
- 2θ = 21.53°, 4.128 Å, intensity 100
- 2θ = 28.00°, 3.186 Å, intensity 17
- 2θ = 33.07°, 2.709 Å, intensity 22
- 2θ = 36.48°, 2.463 Å, intensity 23
- 2θ = 39.20°, 2.298 Å, intensity 26
- 2θ = 39.80°, 2.265 Å, intensity 20
- 2θ = 52.68°, 1.738 Å, intensity 17
- 2θ = 61.31°, 1.512 Å, intensity 10

Cell lengths 10.8361, 10.8361, 17.3628 Å; angles 90.00, 90.00, 120.00 degrees
Sites, in units of the cell vectors:
Cs 0.0000 0.0000 0.0000
Cs 0.0059 0.5030 0.5000
Cs 0.3241 0.1620 0.2646
Cs 0.3241 0.1620 0.7354
Cs 0.3333 0.6667 0.2430
Cs 0.3333 0.6667 0.7570
Cs 0.4970 0.5030 0.5000
Cs 0.4970 0.9941 0.5000
Cs 0.5031 0.0062 0.0000
Cs 0.5031 0.4969 0.0000
Cs 0.8380 0.1620 0.2646
Cs 0.8380 0.1620 0.7354
Cs 0.8380 0.6759 0.2646
Cs 0.8380 0.6759 0.7354
Cs 0.9938 0.4969 0.0000
Na 0.0000 0.0000 0.5000



For Cs2NaNbS4, a DFT-relaxed cell (PBE, Alexandria) gives the computed powder diffraction line list in this record (Cu Kα X-rays).
Intensities are scaled so that the largest is 100.

The 10 most intense peaks (10 to 90 degrees two-theta), in order of rising 2θ:
- 2θ = 18.30°, 4.848 Å, intensity 95
- 2θ = 24.40°, 3.647 Å, intensity 69
- 2θ = 24.89°, 3.577 Å, intensity 23
- 2θ = 25.45°, 3.500 Å, intensity 100
- 2θ = 29.12°, 3.066 Å, intensity 26
- 2θ = 30.25°, 2.954 Å, intensity 40
- 2θ = 34.82°, 2.576 Å, intensity 37
- 2θ = 43.28°, 2.091 Å, intensity 27
- 2θ = 43.54°, 2.079 Å, intensity 20
- 2θ = 47.34°, 1.920 Å, intensity 48

Cell lengths 14.5930, 13.1258, 7.8558 Å; angles 84.14, 63.48, 32.38 degrees
Sites, in units of the cell vectors:
Cs 0.0538 0.0538 0.6962
Cs 0.3038 0.3038 0.9462
Cs 0.6962 0.6962 0.0538
Cs 0.9462 0.9462 0.3038
Na 0.1250 0.1250 0.1250
Na 0.8750 0.8750 0.8750
Nb 0.3750 0.3750 0.3750
Nb 0.6250 0.6250 0.6250
S 0.0251 0.6221 0.5345
S 0.3183 0.5345 0.6221
S 0.3779 0.9749 0.6817
S 0.4655 0.6817 0.9749
S 0.5345 0.3183 0.0251
S 0.6221 0.0251 0.3183
S 0.6817 0.4655 0.3779
S 0.9749 0.3779 0.4655